The following is a computed powder diffraction line list of Mg14CdC. It was derived from DFT lattice parameters and positions (PBE), using λ = 1.5418 Å (Cu Kα).
Peak positions follow from Bragg's law for the DFT cell and can differ from measured ones.

The 10 most intense peaks (2θ from 10° to 90°), low angle first:
2theta  d_spacing  intensity
10.2  8.633  40
14.2  6.241  17
17.5  5.058  28
20.6  4.305  19
25.1  3.550  21
34.7  2.584  15
35.5  2.529  100
36.0  2.494  22
36.3  2.478  38
64.7  1.440  14

a b c (Å): 8.633 6.380 6.380
angles (deg): 78.01 90.00 90.00
Fractional positions:
1 Mg 0.000 0.000 0.000
2 Mg 0.000 0.486 0.486
3 Mg 0.000 0.503 0.997
4 Mg 0.000 0.997 0.503
5 Mg 0.251 0.703 0.703
6 Mg 0.263 0.253 0.253
7 Mg 0.313 0.169 0.798
8 Mg 0.313 0.798 0.169
9 Mg 0.500 0.471 0.982
10 Mg 0.500 0.982 0.471
11 Mg 0.687 0.169 0.798
12 Mg 0.687 0.798 0.169
13 Mg 0.737 0.253 0.253
14 Mg 0.749 0.703 0.703
15 Cd 0.500 0.489 0.489
16 C 0.500 0.108 0.108


The following is a computed powder diffraction line list of K3CeBr6. It was derived from DFT lattice parameters and positions (PBE), using λ = 1.5418 Å (Cu Kα).
Peak positions follow from Bragg's law for the DFT cell and can differ from measured ones.

The 10 most intense peaks (2θ from 10° to 90°), low angle first:
2theta  d_spacing  intensity
12.7  6.958  28
14.7  6.026  66
25.6  3.479  54
29.6  3.013  100
33.2  2.695  35
42.4  2.131  72
50.2  1.817  22
52.6  1.740  25
69.8  1.347  30
77.6  1.230  22

a b c (Å): 8.522 8.522 8.522
angles (deg): 60.00 60.00 60.00
Fractional positions:
1 K 0.000 0.000 0.000
2 K 0.250 0.250 0.250
3 K 0.750 0.750 0.750
4 Ce 0.500 0.500 0.500
5 Br 0.260 0.260 0.740
6 Br 0.260 0.740 0.260
7 Br 0.260 0.740 0.740
8 Br 0.740 0.260 0.260
9 Br 0.740 0.260 0.740
10 Br 0.740 0.740 0.260


The following is a computed powder diffraction line list of LiW6CCl18. It was derived from DFT lattice parameters and positions (PBE), using λ = 1.5418 Å (Cu Kα).
Peak positions follow from Bragg's law for the DFT cell and can differ from measured ones.

The 10 most intense peaks (2θ from 10° to 90°), low angle first:
2theta  d_spacing  intensity
10.1  8.738  24
11.1  7.986  16
12.2  7.264  100
19.9  4.458  7
27.9  3.202  10
33.4  2.680  8
39.4  2.285  11
41.1  2.197  8
43.2  2.096  19
47.2  1.924  9

a b c (Å): 9.222 9.222 17.475
angles (deg): 90.00 90.00 120.00
Fractional positions:
1 Li 0.000 0.000 0.000
2 Li 0.000 0.000 0.500
3 W 0.181 0.479 0.167
4 W 0.181 0.479 0.333
5 W 0.298 0.819 0.167
6 W 0.298 0.819 0.333
7 W 0.479 0.298 0.667
8 W 0.479 0.298 0.833
9 W 0.521 0.702 0.167
10 W 0.521 0.702 0.333
11 W 0.702 0.181 0.667
12 W 0.702 0.181 0.833
13 W 0.819 0.521 0.667
14 W 0.819 0.521 0.833
15 C 0.333 0.667 0.250
16 C 0.667 0.333 0.750
17 Cl 0.024 0.774 0.598
18 Cl 0.024 0.774 0.902
19 Cl 0.056 0.579 0.750
20 Cl 0.072 0.791 0.250
21 Cl 0.100 0.623 0.078
22 Cl 0.100 0.623 0.422
23 Cl 0.209 0.281 0.250
24 Cl 0.226 0.249 0.598
25 Cl 0.226 0.249 0.902
26 Cl 0.249 0.024 0.098
27 Cl 0.249 0.024 0.402
28 Cl 0.281 0.072 0.750
29 Cl 0.377 0.477 0.078
30 Cl 0.377 0.477 0.422
31 Cl 0.421 0.478 0.750
32 Cl 0.477 0.100 0.578
33 Cl 0.477 0.100 0.922
34 Cl 0.478 0.056 0.250
35 Cl 0.522 0.944 0.750
36 Cl 0.523 0.900 0.078
37 Cl 0.523 0.900 0.422
38 Cl 0.579 0.522 0.250
39 Cl 0.623 0.523 0.578
40 Cl 0.623 0.523 0.922
41 Cl 0.719 0.928 0.250
42 Cl 0.751 0.976 0.598
43 Cl 0.751 0.976 0.902
44 Cl 0.774 0.751 0.098
45 Cl 0.774 0.751 0.402
46 Cl 0.791 0.719 0.750
47 Cl 0.900 0.377 0.578
48 Cl 0.900 0.377 0.922
49 Cl 0.928 0.209 0.750
50 Cl 0.944 0.421 0.250
51 Cl 0.976 0.226 0.098
52 Cl 0.976 0.226 0.402


The following is a computed powder diffraction line list of LiNbO2F2. It was derived from DFT lattice parameters and positions (PBE), using λ = 1.5418 Å (Cu Kα).
Peak positions follow from Bragg's law for the DFT cell and can differ from measured ones.

The 10 most intense peaks (2θ from 10° to 90°), low angle first:
2theta  d_spacing  intensity
11.5  7.666  44
20.9  4.255  100
23.2  3.833  17
24.3  3.657  20
24.6  3.619  45
29.1  3.067  45
30.0  2.975  31
34.2  2.622  24
50.5  1.808  22
52.3  1.750  19

a b c (Å): 7.851 5.115 7.492
angles (deg): 90.00 102.47 90.00
Fractional positions:
1 Li 0.128 0.231 0.354
2 Li 0.128 0.269 0.854
3 Li 0.872 0.731 0.146
4 Li 0.872 0.769 0.646
5 Nb 0.332 0.737 0.173
6 Nb 0.332 0.763 0.673
7 Nb 0.668 0.237 0.327
8 Nb 0.668 0.263 0.827
9 O 0.298 0.613 0.937
10 O 0.298 0.887 0.437
11 O 0.459 0.060 0.803
12 O 0.459 0.440 0.303
13 O 0.541 0.560 0.697
14 O 0.541 0.940 0.197
15 O 0.702 0.113 0.563
16 O 0.702 0.387 0.063
17 F 0.099 0.563 0.201
18 F 0.099 0.937 0.701
19 F 0.185 0.063 0.092
20 F 0.185 0.437 0.592
21 F 0.815 0.563 0.408
22 F 0.815 0.937 0.908
23 F 0.901 0.063 0.299
24 F 0.901 0.437 0.799


The following is a computed powder diffraction line list of In3NO3. It was derived from DFT lattice parameters and positions (PBE), using λ = 1.5418 Å (Cu Kα).
Peak positions follow from Bragg's law for the DFT cell and can differ from measured ones.

The 10 most intense peaks (2θ from 10° to 90°), low angle first:
2theta  d_spacing  intensity
27.0  3.299  24
27.3  3.265  23
31.8  2.817  35
32.0  2.796  100
32.1  2.786  42
33.6  2.670  24
38.8  2.321  22
51.3  1.780  26
55.7  1.649  34
56.4  1.633  35

a b c (Å): 6.598 6.598 6.598
angles (deg): 59.32 59.32 59.32
Fractional positions:
1 In 0.000 0.000 0.000
2 In 0.000 0.000 0.500
3 In 0.000 0.500 0.000
4 In 0.365 0.365 0.365
5 In 0.500 0.000 0.000
6 In 0.635 0.635 0.635
7 N 0.234 0.234 0.234
8 N 0.766 0.766 0.766
9 O 0.233 0.761 0.761
10 O 0.239 0.239 0.767
11 O 0.239 0.767 0.239
12 O 0.761 0.233 0.761
13 O 0.761 0.761 0.233
14 O 0.767 0.239 0.239


The following is a computed powder diffraction line list of Na7Cu2O6. It was derived from DFT lattice parameters and positions (PBE), using λ = 1.5418 Å (Cu Kα).
Peak positions follow from Bragg's law for the DFT cell and can differ from measured ones.

The 10 most intense peaks (2θ from 10° to 90°), low angle first:
2theta  d_spacing  intensity
16.6  5.334  36
22.7  3.912  28
24.3  3.668  51
25.3  3.521  53
34.2  2.619  44
35.6  2.525  100
35.7  2.512  89
37.1  2.426  82
46.5  1.953  41
55.8  1.647  31

a b c (Å): 7.831 7.831 10.726
angles (deg): 103.69 103.69 43.18
Fractional positions:
1 Na 0.069 0.931 0.750
2 Na 0.189 0.259 0.804
3 Na 0.239 0.426 0.595
4 Na 0.259 0.189 0.304
5 Na 0.304 0.578 0.349
6 Na 0.422 0.696 0.151
7 Na 0.426 0.239 0.095
8 Na 0.574 0.761 0.905
9 Na 0.578 0.304 0.849
10 Na 0.696 0.422 0.651
11 Na 0.741 0.811 0.696
12 Na 0.761 0.574 0.405
13 Na 0.811 0.741 0.196
14 Na 0.931 0.069 0.250
15 Cu 0.003 0.244 0.039
16 Cu 0.244 0.003 0.539
17 Cu 0.756 0.997 0.461
18 Cu 0.997 0.756 0.961
19 O 0.000 0.348 0.582
20 O 0.000 0.652 0.418
21 O 0.132 0.674 0.128
22 O 0.149 0.607 0.809
23 O 0.326 0.868 0.372
24 O 0.348 0.000 0.082
25 O 0.393 0.851 0.691
26 O 0.607 0.149 0.309
27 O 0.652 0.000 0.918
28 O 0.674 0.132 0.628
29 O 0.851 0.393 0.191
30 O 0.868 0.326 0.872


The following is a computed powder diffraction line list of AgAsRu2. It was derived from DFT lattice parameters and positions (PBE), using λ = 1.5418 Å (Cu Kα).
Peak positions follow from Bragg's law for the DFT cell and can differ from measured ones.

The 7 most intense peaks (2θ from 10° to 90°), low angle first:
2theta  d_spacing  intensity
24.4  3.642  1
28.3  3.154  1
40.4  2.230  100
47.8  1.902  1
58.5  1.577  16
73.6  1.288  33
87.5  1.115  11

a b c (Å): 4.461 4.461 4.461
angles (deg): 60.00 60.00 60.00
Fractional positions:
1 Ag 0.000 0.000 0.000
2 As 0.750 0.750 0.750
3 Ru 0.250 0.250 0.250
4 Ru 0.500 0.500 0.500


The following is a computed powder diffraction line list of Cs2InHgF6. It was derived from DFT lattice parameters and positions (PBE), using λ = 1.5418 Å (Cu Kα).
Peak positions follow from Bragg's law for the DFT cell and can differ from measured ones.

The 10 most intense peaks (2θ from 10° to 90°), low angle first:
2theta  d_spacing  intensity
18.8  4.711  4
26.8  3.331  100
31.5  2.841  4
38.2  2.355  32
47.3  1.923  42
55.1  1.666  20
62.3  1.490  20
69.1  1.360  7
75.5  1.259  23
87.9  1.110  12

a b c (Å): 6.662 6.662 6.662
angles (deg): 60.00 60.00 60.00
Fractional positions:
1 Cs 0.250 0.250 0.250
2 Cs 0.750 0.750 0.750
3 In 0.000 0.000 0.000
4 Hg 0.500 0.500 0.500
5 F 0.225 0.225 0.775
6 F 0.225 0.775 0.225
7 F 0.225 0.775 0.775
8 F 0.775 0.225 0.225
9 F 0.775 0.225 0.775
10 F 0.775 0.775 0.225